Theoretical powder X-ray diffraction pattern of LaPm4Tl for Cu Kα (weighted mean of Kα1 and Kα2), from a structure optimized by DFT (PBE).
No peak broadening, texture or thermal motion is included.

Main lines, in order of rising 2θ (2θ = 5–70°):
two_theta	I_rel
31.2	100
31.3	70
31.5	38
44.7	10
44.8	25
55.6	17
55.7	10
55.9	26
61.8	20
61.9	11

Crystal structure
```
LaPm4Tl
1.0
5.686 0.000 0.000
0.000 7.053 0.000
0.000 0.000 9.920
La Pm Tl
2 8 2
direct
0.250 0.250 0.071
0.750 0.750 0.929
0.250 0.250 0.420
0.250 0.506 0.742
0.250 0.750 0.117
0.250 0.994 0.742
0.750 0.006 0.258
0.750 0.250 0.883
0.750 0.494 0.258
0.750 0.750 0.580
0.250 0.750 0.434
0.750 0.250 0.566
```